# Rb5VO4F2
Theoretical XRD peak list, Cu Kα X-rays. Input: a DFT-relaxed cell (GGA+U, Alexandria).
No peak broadening, texture or thermal motion is included.

Crystal structure
Cell lengths 8.028, 10.306, 6.620 Å; angles 90.00, 90.00, 90.00 degrees
Space group Amm2 (No. 38)
Unique sites:
Rb 0.000 0.000 0.000 [2 per cell]
Rb 0.266 0.185 0.486 [8 per cell]
V 0.500 0.000 0.991 [2 per cell]
O 0.323 0.000 0.147 [4 per cell]
O 0.500 0.138 0.835 [4 per cell]
F 0.000 0.216 0.748 [4 per cell]

Most intense lines, 10 to 90 degrees two-theta, sorted by position:
(hkl)  Position (°2θ)  Rel. int.
0 0 2  26.94  48
2 1 1  27.39  83
2 2 0  28.18  46
0 3 1  29.29  100
2 3 1  37.02  22
2 2 2  39.38  67
4 0 0  45.18  18
0 3 3  49.07  23
2 5 1  51.73  32
0 6 0  53.37  21
4 3 1  54.75  26
2 5 3  66.28  17